(1)
For Tm4CdPd2Au, the PBE geometry in Alexandria gives the computed powder XRD pattern in this record (Cu Kα, 1.54184 Å).
Kinematic intensities with the Lorentz-polarization factor, no thermal factor.

Peak list (10 most intense, 2θ = 15–90°, in order of rising 2θ)
d (Å), I (rel.), hkl
2.509, 98.2, 0 1 8
2.498, 100.0, 1 1 0
1.770, 34.5, 2 0 8
1.451, 16.3, 1 0 16
1.444, 35.2, 1 2 8
1.442, 18.1, 3 0 0
1.254, 10.1, 0 2 16
1.249, 11.2, 2 2 0
1.121, 14.6, 2 1 16
1.118, 15.9, 3 1 8

Atomic structure:
```
data_Tm4CdPd2Au
_cell_length_a 4.9959
_cell_length_b 4.9959
_cell_length_c 24.6343
_cell_angle_alpha 90.00
_cell_angle_beta 90.00
_cell_angle_gamma 120.00
_symmetry_space_group_name_H-M 'R -3 m'
_symmetry_Int_Tables_number 166
_symmetry_space_group_name_Hall '-R 3 2"'
loop_
_atom_site_label
_atom_site_fract_x
_atom_site_fract_y
_atom_site_fract_z
_atom_site_occupancy
Tm1 0.0000 0.0000 0.1216 1
Tm2 0.0000 0.0000 0.3722 1
Cd1 0.0000 0.0000 0.5000 1
Pd1 0.0000 0.0000 0.2439 1
Au1 0.0000 0.0000 0.0000 1
```

***

(2)
For PmCd5Au3, the PBE geometry in Alexandria gives the computed powder XRD pattern in this record (Cu Kα, 1.54184 Å).
Kinematic intensities with the Lorentz-polarization factor, no thermal factor.

Peak list (10 most intense, 2θ = 15–90°, in order of rising 2θ)
d (Å), I (rel.), hkl
3.262, 15.7, 1 3 1
2.944, 14.2, 1 1 3
2.516, 28.3, 1 5 0
2.460, 100.0, 1 1 4
2.312, 44.8, 2 0 0
2.231, 16.3, 1 3 4
2.112, 20.7, 0 6 3
1.559, 15.8, 2 6 3
1.361, 15.3, 3 1 4
1.276, 10.3, 1 11 2

Atomic structure:
```
data_PmCd5Au3
_cell_length_a 4.6218
_cell_length_b 14.9989
_cell_length_c 11.8418
_cell_angle_alpha 90.00
_cell_angle_beta 90.00
_cell_angle_gamma 90.00
_symmetry_space_group_name_H-M 'C m c m'
_symmetry_Int_Tables_number 63
_symmetry_space_group_name_Hall '-C 2c 2'
loop_
_atom_site_label
_atom_site_fract_x
_atom_site_fract_y
_atom_site_fract_z
_atom_site_occupancy
Pm1 0.0000 0.2207 0.2500 1
Cd1 0.0000 0.0000 0.0000 1
Cd2 0.0000 0.1943 0.5284 1
Cd3 0.0000 0.4328 0.1254 1
Au1 0.0000 0.1286 0.7500 1
Au2 0.0000 0.3756 0.6226 1
```

***

(3)
For PmCd5Au, the PBE geometry in Alexandria gives the computed powder XRD pattern in this record (Cu Kα, 1.54184 Å).
Kinematic intensities with the Lorentz-polarization factor, no thermal factor.

Peak list (10 most intense, 2θ = 15–90°, in order of rising 2θ)
d (Å), I (rel.), hkl
4.852, 18.6, 1 0 0
4.034, 12.6, 1 0 1
3.102, 7.8, 1 1 1
2.907, 10.7, 1 0 2
2.494, 100.0, 1 1 2
2.426, 56.7, 2 0 0
1.715, 23.6, 2 2 0
1.453, 13.1, 2 0 4
1.413, 32.7, 3 1 2
1.247, 9.3, 2 2 4

Atomic structure:
```
data_PmCd5Au
_cell_length_a 4.8519
_cell_length_b 4.8519
_cell_length_c 7.2614
_cell_angle_alpha 90.00
_cell_angle_beta 90.00
_cell_angle_gamma 90.00
_symmetry_space_group_name_H-M 'P 4/m m m'
_symmetry_Int_Tables_number 123
_symmetry_space_group_name_Hall '-P 4 2'
loop_
_atom_site_label
_atom_site_fract_x
_atom_site_fract_y
_atom_site_fract_z
_atom_site_occupancy
Pm1 0.0000 0.0000 0.0000 1
Cd1 0.0000 0.5000 0.2896 1
Cd2 0.5000 0.5000 0.0000 1
Au1 0.0000 0.0000 0.5000 1
```

***

(4)
For Pm2CdAu3, the PBE geometry in Alexandria gives the computed powder XRD pattern in this record (Cu Kα, 1.54184 Å).
Kinematic intensities with the Lorentz-polarization factor, no thermal factor.

Peak list (10 most intense, 2θ = 15–90°, in order of rising 2θ)
d (Å), I (rel.), hkl
3.493, 13.4, 2 0 0
2.680, 100.0, 2 0 4
2.418, 30.0, 0 4 0
2.409, 59.4, 0 2 6
1.983, 11.6, 2 2 6
1.795, 20.6, 2 4 4
1.747, 11.2, 4 0 0
1.438, 20.0, 2 2 10
1.415, 33.6, 4 4 0
1.394, 10.7, 0 6 6

Atomic structure:
```
data_Pm2CdAu3
_cell_length_a 6.9869
_cell_length_b 9.6728
_cell_length_c 16.6700
_cell_angle_alpha 90.00
_cell_angle_beta 90.00
_cell_angle_gamma 90.00
_symmetry_space_group_name_H-M 'F m m m'
_symmetry_Int_Tables_number 69
_symmetry_space_group_name_Hall '-F 2 2'
loop_
_atom_site_label
_atom_site_fract_x
_atom_site_fract_y
_atom_site_fract_z
_atom_site_occupancy
Pm1 0.2448 0.0000 0.0000 1
Pm2 0.2500 0.2500 0.2500 1
Cd1 0.0000 0.0000 0.3333 1
Au1 0.0000 0.0000 0.1671 1
Au2 0.0000 0.2475 0.4161 1
```

***

(5)
For Pm7Cd2Au2, the PBE geometry in Alexandria gives the computed powder XRD pattern in this record (Cu Kα, 1.54184 Å).
Kinematic intensities with the Lorentz-polarization factor, no thermal factor.

Peak list (10 most intense, 2θ = 15–90°, in order of rising 2θ)
d (Å), I (rel.), hkl
4.528, 22.2, 0 2 1
3.613, 48.9, 2 0 1
3.335, 25.4, 2 2 0
3.271, 29.7, 1 1 2
3.128, 21.7, 1 3 1
2.839, 53.6, 0 4 0
2.775, 23.7, 2 0 2
2.536, 52.9, 1 3 2
2.493, 100.0, 2 2 2
1.565, 27.7, 0 4 4

Atomic structure:
```
data_Pm7Cd2Au2
_cell_length_a 8.2428
_cell_length_b 11.3557
_cell_length_c 7.5050
_cell_angle_alpha 90.00
_cell_angle_beta 90.00
_cell_angle_gamma 90.00
_symmetry_space_group_name_H-M 'C m m m'
_symmetry_Int_Tables_number 65
_symmetry_space_group_name_Hall '-C 2 2'
loop_
_atom_site_label
_atom_site_fract_x
_atom_site_fract_y
_atom_site_fract_z
_atom_site_occupancy
Pm1 0.0000 0.0000 0.0000 1
Pm2 0.0000 0.5000 0.2578 1
Pm3 0.2500 0.2500 0.2681 1
Cd1 0.1695 0.0000 0.5000 1
Au1 0.0000 0.2930 0.0000 1
```

***

(6)
For Pm3CdAu, the PBE geometry in Alexandria gives the computed powder XRD pattern in this record (Cu Kα, 1.54184 Å).
Kinematic intensities with the Lorentz-polarization factor, no thermal factor.

Peak list (10 most intense, 2θ = 15–90°, in order of rising 2θ)
d (Å), I (rel.), hkl
3.241, 19.1, 1 2 -1
3.033, 100.0, 1 1 -3
2.893, 57.9, 1 2 -2
2.687, 30.7, 1 1 3
2.639, 67.8, 2 2 0
2.600, 32.9, 2 1 2
2.550, 29.0, 1 0 -4
2.435, 56.0, 3 0 -2
2.274, 19.7, 1 0 4
2.222, 31.3, 0 3 2

Atomic structure:
```
data_Pm3CdAu
_cell_length_a 7.6503
_cell_length_b 7.4179
_cell_length_c 10.3159
_cell_angle_alpha 90.00
_cell_angle_beta 100.91
_cell_angle_gamma 90.00
_symmetry_space_group_name_H-M 'P 1 21/c 1'
_symmetry_Int_Tables_number 14
_symmetry_space_group_name_Hall '-P 2ybc'
loop_
_atom_site_label
_atom_site_fract_x
_atom_site_fract_y
_atom_site_fract_z
_atom_site_occupancy
Pm1 0.1406 0.1304 0.4077 1
Pm2 0.2231 0.5332 0.6125 1
Pm3 0.3230 0.0030 0.7467 1
Cd1 0.4546 0.6957 0.9681 1
Au1 0.0590 0.7444 0.3657 1
```